Entry 1:
This entry pairs a crystal structure of Cs2NaTcSe6 with its simulated XRD peak list. Radiation: Cu Kα (λ = 1.5418 Å). Structure: the GGA-PBE geometry in OQMD.
Neutral-atom scattering factors, no anomalous dispersion.

Structural model:
```
data_Cs2NaTcSe6
_space_group_name_H-M_alt 'R 3 m'
_space_group_IT_number 160
_space_group_name_Hall 'R 3 -2"'
_cell_length_a 7.4643
_cell_length_b 7.4643
_cell_length_c 19.2214
_cell_angle_alpha 90.00
_cell_angle_beta 90.00
_cell_angle_gamma 120.00
loop_
_atom_site_label
_atom_site_fract_x
_atom_site_fract_y
_atom_site_fract_z
Cs1 0.0000 0.0000 0.0000
Cs2 0.0000 0.0000 0.4978
Na1 0.0000 0.0000 0.2248
Tc1 0.0000 0.0000 0.7130
Se1 0.0027 0.5013 0.0008
Se2 0.0728 0.5364 0.4874
```

Main lines, sorted by position (10 to 90 degrees two-theta):
- 6.127 Å, rel. 29
- 3.857 Å, rel. 18
- 3.732 Å, rel. 27
- 3.204 Å, rel. 41
- 3.064 Å, rel. 78
- 2.682 Å, rel. 100
- 1.928 Å, rel. 28
- 1.866 Å, rel. 30
- 1.652 Å, rel. 19
- 1.612 Å, rel. 23


Entry 2:
This entry pairs a crystal structure of CsNaSm with its simulated XRD peak list. Radiation: Cu Kα (λ = 1.5418 Å). Structure: the GGA-PBE geometry in OQMD.
Neutral-atom scattering factors, no anomalous dispersion.

Structural model:
```
data_CsNaSm
_space_group_name_H-M_alt 'F -4 3 m'
_space_group_IT_number 216
_space_group_name_Hall 'F -4 2 3'
_cell_length_a 8.727
_cell_length_b 8.727
_cell_length_c 8.727
_cell_angle_alpha 90.00
_cell_angle_beta 90.00
_cell_angle_gamma 90.00
loop_
_atom_site_label
_atom_site_fract_x
_atom_site_fract_y
_atom_site_fract_z
Cs1 0.000 0.000 0.000
Na1 0.250 0.250 0.250
Sm1 0.000 0.000 0.500
```

Main lines, sorted by position (10 to 90 degrees two-theta):
- 4.364 Å, rel. 83
- 3.086 Å, rel. 100
- 2.519 Å, rel. 27
- 2.182 Å, rel. 19
- 1.952 Å, rel. 38
- 1.781 Å, rel. 40
- 1.543 Å, rel. 12
- 1.455 Å, rel. 19
- 1.380 Å, rel. 17
- 1.166 Å, rel. 20


Entry 3:
This entry pairs a crystal structure of Cs3NaZn2Sn2 with its simulated XRD peak list. Radiation: Cu Kα (λ = 1.5418 Å). Structure: the GGA-PBE geometry in OQMD.
Neutral-atom scattering factors, no anomalous dispersion.

Structural model:
```
data_Cs3NaZn2Sn2
_space_group_name_H-M_alt 'P 1 m 1'
_space_group_IT_number 6
_cell_length_a 7.023
_cell_length_b 6.697
_cell_length_c 7.325
_cell_angle_alpha 90.00
_cell_angle_beta 107.41
_cell_angle_gamma 90.00
loop_
_space_group_symop_operation_xyz
'x,y,z'
'x,-y,z'
loop_
_atom_site_label
_atom_site_fract_x
_atom_site_fract_y
_atom_site_fract_z
Cs1 0.000 0.000 0.000
Cs2 0.068 0.500 0.358
Cs3 0.704 0.500 0.673
Na1 0.377 0.000 0.689
Zn1 0.522 0.254 0.158
Sn1 0.287 0.500 0.914
Sn2 0.708 0.000 0.426
```

Main lines, sorted by position (10 to 90 degrees two-theta):
- 3.585 Å, rel. 73
- 3.450 Å, rel. 54
- 3.349 Å, rel. 48
- 3.148 Å, rel. 100
- 3.067 Å, rel. 61
- 2.996 Å, rel. 26
- 2.629 Å, rel. 43
- 1.892 Å, rel. 23
- 1.858 Å, rel. 26
- 1.670 Å, rel. 24


Entry 4:
This entry pairs a crystal structure of CsNb8 with its simulated XRD peak list. Radiation: Cu Kα (λ = 1.5418 Å). Structure: the GGA-PBE geometry in OQMD.
Neutral-atom scattering factors, no anomalous dispersion.

Structural model:
```
data_CsNb8
_space_group_name_H-M_alt 'C m m m'
_space_group_IT_number 65
_space_group_name_Hall '-C 2 2'
_cell_length_a 9.527
_cell_length_b 16.486
_cell_length_c 2.843
_cell_angle_alpha 90.00
_cell_angle_beta 90.00
_cell_angle_gamma 90.00
loop_
_atom_site_label
_atom_site_fract_x
_atom_site_fract_y
_atom_site_fract_z
Cs1 0.000 0.000 0.000
Nb1 0.000 0.177 0.500
Nb2 0.000 0.333 0.500
Nb3 0.234 0.411 0.500
```

Main lines, sorted by position (10 to 90 degrees two-theta):
- 8.247 Å, rel. 20
- 4.123 Å, rel. 37
- 3.117 Å, rel. 26
- 2.843 Å, rel. 30
- 2.381 Å, rel. 100
- 2.340 Å, rel. 65
- 1.825 Å, rel. 43
- 1.669 Å, rel. 21
- 1.367 Å, rel. 21
- 1.220 Å, rel. 23


Entry 5:
This entry pairs a crystal structure of Cs2Nb2O5 with its simulated XRD peak list. Radiation: Cu Kα (λ = 1.5418 Å). Structure: the GGA-PBE geometry in OQMD.
Neutral-atom scattering factors, no anomalous dispersion.

Structural model:
```
data_Cs2Nb2O5
_space_group_name_H-M_alt 'P 1'
_space_group_IT_number 1
_cell_length_a 5.413
_cell_length_b 5.415
_cell_length_c 7.274
_cell_angle_alpha 68.61
_cell_angle_beta 68.86
_cell_angle_gamma 63.85
loop_
_space_group_symop_operation_xyz
'x,y,z'
loop_
_atom_site_label
_atom_site_fract_x
_atom_site_fract_y
_atom_site_fract_z
Cs1 0.000 0.000 0.000
Cs2 0.274 0.262 0.229
Nb1 0.481 0.471 0.586
Nb2 0.810 0.792 0.636
O1 0.088 0.568 0.805
O2 0.192 0.685 0.425
O3 0.560 0.062 0.802
O4 0.668 0.742 0.430
O5 0.733 0.202 0.425
```

Main lines, sorted by position (10 to 90 degrees two-theta):
- 3.455 Å, rel. 100
- 3.373 Å, rel. 51
- 2.863 Å, rel. 33
- 2.701 Å, rel. 67
- 2.186 Å, rel. 14
- 2.179 Å, rel. 15
- 2.165 Å, rel. 14
- 1.744 Å, rel. 13
- 1.653 Å, rel. 13
- 1.620 Å, rel. 14


Entry 6:
This entry pairs a crystal structure of CsNbP2O8 with its simulated XRD peak list. Radiation: Cu Kα (λ = 1.5418 Å). Structure: the GGA-PBE geometry in OQMD.
Neutral-atom scattering factors, no anomalous dispersion.

Structural model:
```
data_CsNbP2O8
_space_group_name_H-M_alt 'P 1 21/c 1'
_space_group_IT_number 14
_cell_length_a 4.908
_cell_length_b 8.821
_cell_length_c 18.122
_cell_angle_alpha 90.00
_cell_angle_beta 100.23
_cell_angle_gamma 90.00
loop_
_space_group_symop_operation_xyz
'x,y,z'
'-x,-y,-z'
'-x,y+1/2,-z+1/2'
'x,-y+1/2,z+1/2'
loop_
_atom_site_label
_atom_site_fract_x
_atom_site_fract_y
_atom_site_fract_z
Cs1 0.153 0.210 0.437
Nb1 0.333 0.056 0.162
P1 0.128 0.120 0.742
P2 0.202 0.711 0.900
O1 0.000 0.155 0.095
O2 0.034 0.589 0.842
O3 0.070 0.587 0.703
O4 0.221 0.217 0.250
O5 0.288 0.629 0.972
O6 0.362 0.002 0.751
O7 0.412 0.570 0.594
O8 0.439 0.735 0.361
```

Main lines, sorted by position (10 to 90 degrees two-theta):
- 4.930 Å, rel. 68
- 4.237 Å, rel. 42
- 3.982 Å, rel. 100
- 3.955 Å, rel. 64
- 3.736 Å, rel. 43
- 3.612 Å, rel. 39
- 3.185 Å, rel. 28
- 3.017 Å, rel. 74
- 2.948 Å, rel. 58
- 2.010 Å, rel. 30


What did the fifth record say?
This entry pairs a crystal structure of Cs2Nb2O5 with its simulated XRD peak list. Radiation: Cu Kα (λ = 1.5418 Å). Structure: the GGA-PBE geometry in OQMD.
Neutral-atom scattering factors, no anomalous dispersion.

Structural model:
```
data_Cs2Nb2O5
_space_group_name_H-M_alt 'P 1'
_space_group_IT_number 1
_cell_length_a 5.413
_cell_length_b 5.415
_cell_length_c 7.274
_cell_angle_alpha 68.61
_cell_angle_beta 68.86
_cell_angle_gamma 63.85
loop_
_space_group_symop_operation_xyz
'x,y,z'
loop_
_atom_site_label
_atom_site_fract_x
_atom_site_fract_y
_atom_site_fract_z
Cs1 0.000 0.000 0.000
Cs2 0.274 0.262 0.229
Nb1 0.481 0.471 0.586
Nb2 0.810 0.792 0.636
O1 0.088 0.568 0.805
O2 0.192 0.685 0.425
O3 0.560 0.062 0.802
O4 0.668 0.742 0.430
O5 0.733 0.202 0.425
```

Main lines, sorted by position (10 to 90 degrees two-theta):
- 3.455 Å, rel. 100
- 3.373 Å, rel. 51
- 2.863 Å, rel. 33
- 2.701 Å, rel. 67
- 2.186 Å, rel. 14
- 2.179 Å, rel. 15
- 2.165 Å, rel. 14
- 1.744 Å, rel. 13
- 1.653 Å, rel. 13
- 1.620 Å, rel. 14